The following is a calculated XRD peak list of KMn4F8. It was derived from a crystal structure in Alexandria, relaxed with PBE+U, using a wavelength of 1.5418 Å.
No peak broadening, texture or thermal motion is included.

Structure:
```
KMn4F8
1.0
6.3948 0.0000 0.0000
-3.1974 5.5381 0.0000
0.0000 0.0000 13.7158
K Mn F
2 8 16
direct
0.0000 0.0000 0.0000
0.0000 0.0000 0.5000
0.0000 0.0000 0.2500
0.0000 0.0000 0.7500
0.0019 0.5009 0.2500
0.4991 0.5009 0.2500
0.4991 0.9981 0.2500
0.5009 0.0019 0.7500
0.5009 0.4991 0.7500
0.9981 0.4991 0.7500
0.1607 0.3214 0.1582
0.1607 0.3214 0.3418
0.1607 0.8393 0.1582
0.1607 0.8393 0.3418
0.3214 0.1607 0.6582
0.3214 0.1607 0.8418
0.3333 0.6667 0.6606
0.3333 0.6667 0.8394
0.6667 0.3333 0.1606
0.6667 0.3333 0.3394
0.6786 0.8393 0.1582
0.6786 0.8393 0.3418
0.8393 0.1607 0.6582
0.8393 0.1607 0.8418
0.8393 0.6786 0.6582
0.8393 0.6786 0.8418
```

Principal peaks in the range 5 to 70 degrees two-theta, low angle first:
2θ = 12.91°, 6.858 Å, I 100; 2θ = 25.99°, 3.429 Å, I 7; 2θ = 32.33°, 2.769 Å, I 17; 2θ = 33.00°, 2.714 Å, I 13; 2θ = 34.94°, 2.568 Å, I 18; 2θ = 41.94°, 2.154 Å, I 46; 2θ = 51.86°, 1.763 Å, I 15; 2θ = 57.66°, 1.599 Å, I 15; 2θ = 59.36°, 1.557 Å, I 9; 2θ = 63.86°, 1.458 Å, I 9